1.
CdNi2Ag: simulated powder diffraction line list (Cu Kα, 1.54184 Å), based on a cell relaxed with GGA-PBE.
Lines closer than 0.1° are merged.

Atomic structure:
Lattice parameters (Å, degrees): 2.982 3.362 5.899 90.00 90.00 90.00
Space group Pmmm (No. 47)
One atom of each set of equivalent atoms:
1 Cd 0.000 0.000 0.000 x1
2 Ni 0.500 0.500 0.255 x2
3 Ag 0.000 0.000 0.500 x1

Top 8 peaks for 10° ≤ 2θ ≤ 90°, in order of rising 2θ:
index	2θ/deg	I/Imax
1 1 0	40.4	100
0 1 2	40.7	98
1 0 2	43.1	82
0 2 0	54.6	20
2 0 0	62.3	13
1 2 2	72.0	33
2 1 2	77.1	27
1 1 4	77.6	26

2.
Cd8NiAg5: simulated powder diffraction line list (Cu Kα, 1.54184 Å), based on a cell relaxed with GGA-PBE.
Lines closer than 0.1° are merged.

Atomic structure:
Lattice parameters (Å, degrees): 8.071 8.071 8.849 90.00 90.00 90.00
Space group I-4 (No. 82)
One atom of each set of equivalent atoms:
1 Cd 0.067 0.322 0.078 x8
2 Cd 0.094 0.168 0.757 x8
3 Ni 0.000 0.000 0.000 x2
4 Ag 0.000 0.500 0.750 x2
5 Ag 0.111 0.207 0.428 x8

Top 8 peaks for 10° ≤ 2θ ≤ 90°, in order of rising 2θ:
index	2θ/deg	I/Imax
1 0 3	32.3	65
3 0 1	34.9	63
3 1 0	35.2	78
1 2 3	39.5	100
1 3 2	40.8	49
2 3 1	41.6	50
3 1 4	54.9	25
6 2 0	74.3	28

3.
Cd8Ni4Ag: simulated powder diffraction line list (Cu Kα, 1.54184 Å), based on a cell relaxed with GGA-PBE.
Lines closer than 0.1° are merged.

Atomic structure:
Lattice parameters (Å, degrees): 9.231 9.231 5.575 90.00 90.00 90.00
Space group I4/mmm (No. 139)
One atom of each set of equivalent atoms:
1 Cd 0.000 0.224 0.000 x8
2 Cd 0.000 0.314 0.500 x8
3 Ni 0.250 0.250 0.250 x8
4 Ag 0.000 0.000 0.500 x2

Top 8 peaks for 10° ≤ 2θ ≤ 90°, in order of rising 2θ:
index	2θ/deg	I/Imax
2 2 0	27.3	30
0 0 2	32.1	40
3 0 1	33.3	47
2 0 2	37.7	36
3 2 1	38.7	79
4 0 0	39.0	81
2 2 2	42.7	100
6 3 1	70.5	28

4.
NpCdAg4: simulated powder diffraction line list (Cu Kα, 1.54184 Å), based on a cell relaxed with GGA-PBE.
Lines closer than 0.1° are merged.

Atomic structure:
Lattice parameters (Å, degrees): 7.929 7.929 7.929 90.00 90.00 90.00
Space group F-43m (No. 216)
One atom of each set of equivalent atoms:
1 Np 0.000 0.000 0.000 x4
2 Cd 0.250 0.250 0.250 x4
3 Ag 0.125 0.125 0.625 x16

Top 8 peaks for 10° ≤ 2θ ≤ 90°, in order of rising 2θ:
index	2θ/deg	I/Imax
2 2 0	31.9	41
3 1 1	37.6	100
2 2 2	39.4	28
4 2 2	56.9	16
5 1 1	60.7	32
4 4 0	66.7	25
5 3 3	79.2	11
6 2 2	80.3	10